Theoretical X-ray powder pattern
Compound: YEr2MoO8
Radiation: Cu Kα, 1.54184 Å
Structure: the GGA+U geometry in Alexandria
Peak positions follow from Bragg's law for the DFT cell and can differ from measured ones.

Peak list (6 most intense, 2θ = 10–90°, by angle)
- 2θ = 24.92°, I 61
- 2θ = 25.21°, I 57
- 2θ = 31.86°, I 100
- 2θ = 35.74°, I 28
- 2θ = 48.46°, I 41
- 2θ = 48.79°, I 39

Crystal structure
```
YEr2MoO8
1.0
3.533 -3.573 0.000
3.533 3.573 0.000
0.000 0.000 6.774
Y Er Mo O
1 2 1 8
direct
0.000 0.000 0.000
0.500 0.500 0.251
0.500 0.500 0.749
0.000 0.000 0.500
0.185 0.815 0.288
0.185 0.815 0.712
0.277 0.277 0.500
0.309 0.309 0.000
0.691 0.691 0.000
0.723 0.723 0.500
0.815 0.185 0.288
0.815 0.185 0.712
```